No. 1
Diffraction record for MgV8Zn4O16. The powder diffraction line list is theoretical, not measured: it uses a crystal structure in the Materials Project, relaxed with GGA+U and a wavelength of 1.5418 Å.
Kinematic intensities with the Lorentz-polarization factor, no thermal factor.

Top 8 peaks for 2θ = 10–80°, sorted by position:
2θ/deg, I/Imax, (hkl)
29.2, 30.3, 0 2 3
32.2, 100.0, 0 2 -3
32.8, 18.3, 1 2 1
33.3, 18.4, 1 0 2
35.8, 44.2, 1 -2 0
36.3, 60.0, 0 2 4
38.4, 18.7, 1 0 -3
59.1, 22.6, 2 1 0

Cell and atoms:
```
data_MgV8Zn4O16
_chemical_formula_sum 'Mg1 V8 Zn4 O16'
_space_group_name_H-M_alt 'P 1'
_space_group_IT_number 1
_cell_length_a 3.1300
_cell_length_b 10.0458
_cell_length_c 10.8303
_cell_angle_alpha 84.31
_cell_angle_beta 89.19
_cell_angle_gamma 83.28
loop_
_space_group_symop_operation_xyz
'x,y,z'
loop_
_atom_site_label
_atom_site_fract_x
_atom_site_fract_y
_atom_site_fract_z
Mg1 0.0000 0.0000 0.0000
V1 0.1617 0.6015 0.7459
V2 0.1708 0.6412 0.1060
V3 0.5332 0.9191 0.2566
V4 0.6091 0.8934 0.5701
V5 0.7447 0.3845 0.6133
V6 0.7563 0.4247 0.2742
V7 0.9036 0.1848 0.1560
V8 0.9473 0.1091 0.7589
Zn1 0.1496 0.6600 0.4344
Zn2 0.2849 0.1842 0.4140
Zn3 0.3906 0.3194 0.8826
Zn4 0.5997 0.7996 0.8622
O1 0.0162 0.0367 0.3233
O2 0.0490 0.8257 0.1596
O3 0.0674 0.9996 0.5978
O4 0.1393 0.6910 0.9137
O5 0.1802 0.5202 0.5797
O6 0.2087 0.5520 0.2966
O7 0.3357 0.2933 0.2345
O8 0.3635 0.2537 0.6924
O9 0.4715 0.0535 0.1104
O10 0.5003 0.9893 0.8656
O11 0.5980 0.7913 0.4231
O12 0.6355 0.7337 0.6894
O13 0.6786 0.4720 0.7875
O14 0.7168 0.5309 0.1025
O15 0.7572 0.3035 0.4530
O16 0.9288 0.2175 0.9443
```


No. 2
Diffraction record for MgMn3SnO8. The powder diffraction line list is theoretical, not measured: it uses a crystal structure in the Materials Project, relaxed with GGA+U and a wavelength of 1.5418 Å.
Kinematic intensities with the Lorentz-polarization factor, no thermal factor.

Top 8 peaks for 2θ = 10–80°, sorted by position:
2θ/deg, I/Imax, (hkl)
17.6, 16.5, 0 0 1
18.0, 100.0, 1 1 0
35.1, 19.4, 3 1 -2
36.4, 22.4, 4 0 -2
40.6, 29.0, 4 0 0
42.8, 48.9, 2 2 -2
59.8, 15.0, 2 2 2
61.0, 15.1, 6 2 -2

Cell and atoms:
```
data_MgMn3SnO8
_chemical_formula_sum 'Mg2 Mn6 Sn2 O16'
_space_group_name_H-M_alt 'C 1 2/m 1'
_space_group_IT_number 12
_cell_length_a 10.6157
_cell_length_b 5.9356
_cell_length_c 6.0196
_cell_angle_alpha 90.00
_cell_angle_beta 123.05
_cell_angle_gamma 90.00
loop_
_space_group_symop_operation_xyz
'x,y,z'
'-x,-y,-z'
'-x,y,-z'
'x,-y,z'
'x+1/2,y+1/2,z'
'-x+1/2,-y+1/2,-z'
'-x+1/2,y+1/2,-z'
'x+1/2,-y+1/2,z'
loop_
_atom_site_label
_atom_site_fract_x
_atom_site_fract_y
_atom_site_fract_z
Mg1 0.0000 0.0000 0.0000
Mn1 0.0000 0.5000 0.0000
Mn2 0.2500 0.2500 0.0000
Sn1 0.0000 0.5000 0.5000
O1 0.0014 0.2711 0.7709
O2 0.2186 0.5000 0.1796
O3 0.2430 0.5000 0.7743
```


No. 3
Diffraction record for LiNi2OF3. The powder diffraction line list is theoretical, not measured: it uses a crystal structure in the Materials Project, relaxed with GGA+U and a wavelength of 1.5418 Å.
Kinematic intensities with the Lorentz-polarization factor, no thermal factor.

Top 8 peaks for 2θ = 10–80°, sorted by position:
2θ/deg, I/Imax, (hkl)
12.7, 84.9, 0 1 1
18.3, 100.0, 1 0 1
24.3, 24.0, 0 3 1
33.1, 27.9, 2 1 1
34.9, 40.4, 1 4 1
42.4, 43.3, 0 0 4
42.8, 88.3, 2 4 0
61.8, 51.4, 2 4 4

Cell and atoms:
```
data_LiNi2OF3
_chemical_formula_sum 'Li8 Ni16 O8 F24'
_space_group_name_H-M_alt 'I m m 2'
_space_group_IT_number 44
_cell_length_a 5.8744
_cell_length_b 12.1551
_cell_length_c 8.5338
_cell_angle_alpha 90.00
_cell_angle_beta 90.00
_cell_angle_gamma 90.00
loop_
_space_group_symop_operation_xyz
'x,y,z'
'-x,-y,z'
'-x,y,z'
'x,-y,z'
'x+1/2,y+1/2,z+1/2'
'-x+1/2,-y+1/2,z+1/2'
'-x+1/2,y+1/2,z+1/2'
'x+1/2,-y+1/2,z+1/2'
loop_
_atom_site_label
_atom_site_fract_x
_atom_site_fract_y
_atom_site_fract_z
Li1 0.0000 0.1292 0.0000
Li2 0.0000 0.3648 0.7170
Ni1 0.0000 0.0000 0.3438
Ni2 0.0000 0.2488 0.3759
Ni3 0.0000 0.5000 0.3793
Ni4 0.2423 0.1181 0.6140
O1 0.0000 0.0000 0.5787
O2 0.0000 0.2291 0.6002
O3 0.0000 0.5000 0.1442
F1 0.0000 0.0000 0.1142
F2 0.0000 0.2621 0.1305
F3 0.0000 0.5000 0.6076
F4 0.2391 0.3739 0.3650
F5 0.2413 0.1251 0.3590
```


No. 4
Diffraction record for MgMn12Zn6O24. The powder diffraction line list is theoretical, not measured: it uses a crystal structure in the Materials Project, relaxed with GGA+U and a wavelength of 1.5418 Å.
Kinematic intensities with the Lorentz-polarization factor, no thermal factor.

Top 8 peaks for 2θ = 10–80°, sorted by position:
2θ/deg, I/Imax, (hkl)
32.2, 40.1, 1 1 -3
32.8, 98.3, 0 1 -5
33.3, 50.7, 1 -2 3
34.8, 52.6, -1 1 5
35.1, 100.0, -1 2 3
35.6, 92.9, 1 0 5
39.1, 42.7, 0 2 -4
60.0, 40.9, 2 -4 0

Cell and atoms:
```
data_MgMn12Zn6O24
_chemical_formula_sum 'Mg1 Mn12 Zn6 O24'
_space_group_name_H-M_alt 'P 1'
_space_group_IT_number 1
_cell_length_a 5.9925
_cell_length_b 6.1860
_cell_length_c 14.9950
_cell_angle_alpha 93.65
_cell_angle_beta 92.13
_cell_angle_gamma 117.55
loop_
_space_group_symop_operation_xyz
'x,y,z'
loop_
_atom_site_label
_atom_site_fract_x
_atom_site_fract_y
_atom_site_fract_z
Mg1 0.0000 0.0000 0.0000
Mn1 0.1098 0.8153 0.1746
Mn2 0.1217 0.3235 0.1737
Mn3 0.3058 0.1601 0.3351
Mn4 0.3314 0.1739 0.7059
Mn5 0.3577 0.6949 0.8313
Mn6 0.4768 0.9779 0.4979
Mn7 0.4798 0.4839 0.4995
Mn8 0.5449 0.7976 0.0477
Mn9 0.6190 0.3150 0.1646
Mn10 0.8554 0.6820 0.8249
Mn11 0.8596 0.1837 0.8253
Mn12 0.9753 0.9763 0.4985
Zn1 0.4030 0.2046 0.9265
Zn2 0.6320 0.8245 0.2913
Zn3 0.6547 0.8265 0.6619
Zn4 0.9615 0.4854 0.3781
Zn5 0.9668 0.4842 0.0040
Zn6 0.9960 0.4872 0.6173
O1 0.0484 0.5131 0.7544
O2 0.1380 0.3075 0.9230
O3 0.1522 0.8448 0.4197
O4 0.1677 0.3186 0.4149
O5 0.1719 0.8344 0.9101
O6 0.2325 0.6173 0.1066
O7 0.3072 0.1333 0.5688
O8 0.3242 0.1597 0.0794
O9 0.3393 0.6518 0.5730
O10 0.4332 0.9924 0.2490
O11 0.4513 0.4655 0.2393
O12 0.5237 0.5406 0.7603
O13 0.5387 0.0140 0.7557
O14 0.6082 0.3088 0.4175
O15 0.6501 0.8320 0.4232
O16 0.6623 0.8459 0.9183
O17 0.7359 0.3860 0.8954
O18 0.7953 0.6476 0.5754
O19 0.8060 0.1235 0.5736
O20 0.8110 0.1747 0.0897
O21 0.8363 0.7041 0.0788
O22 0.9223 0.4854 0.2439
O23 0.9790 0.9794 0.7599
O24 0.9990 0.0238 0.2449
```


No. 5
Diffraction record for MnFe3Ni2P6O24. The powder diffraction line list is theoretical, not measured: it uses a crystal structure in the Materials Project, relaxed with GGA+U and a wavelength of 1.5418 Å.
Kinematic intensities with the Lorentz-polarization factor, no thermal factor.

Top 8 peaks for 2θ = 10–80°, sorted by position:
2θ/deg, I/Imax, (hkl)
20.7, 96.5, 1 1 0
24.5, 100.0, 1 1 3
33.4, 75.7, 2 -1 6
36.2, 42.9, 3 0 0
47.9, 34.4, 3 -2 8
50.1, 28.9, 2 2 6
56.7, 25.9, 1 4 0
63.4, 22.5, 5 -4 6

Cell and atoms:
```
data_MnFe3Ni2P6O24
_chemical_formula_sum 'Mn3 Fe9 Ni6 P18 O72'
_space_group_name_H-M_alt 'R 3'
_space_group_IT_number 146
_space_group_name_Hall 'R 3'
_cell_length_a 8.5883
_cell_length_b 8.5883
_cell_length_c 20.5917
_cell_angle_alpha 90.00
_cell_angle_beta 90.00
_cell_angle_gamma 120.00
loop_
_atom_site_label
_atom_site_fract_x
_atom_site_fract_y
_atom_site_fract_z
Mn1 0.0000 0.0000 0.0000
Fe1 0.0000 0.0000 0.2144
Fe2 0.0000 0.0000 0.5021
Fe3 0.0000 0.0000 0.7136
Ni1 0.0000 0.0000 0.3576
Ni2 0.0000 0.0000 0.8563
P1 0.0014 0.2929 0.1070
P2 0.0006 0.7039 0.6089
O1 0.0005 0.7998 0.5466
O2 0.0065 0.8048 0.6700
O3 0.0083 0.1997 0.1685
O4 0.0101 0.8311 0.2833
O5 0.0188 0.1847 0.7820
O6 0.1414 0.4738 0.7113
O7 0.1681 0.4842 0.0980
O8 0.1733 0.6835 0.6008
```


No. 6
Diffraction record for Li9Mn2Co5O16. The powder diffraction line list is theoretical, not measured: it uses a crystal structure in the Materials Project, relaxed with GGA+U and a wavelength of 1.5418 Å.
Kinematic intensities with the Lorentz-polarization factor, no thermal factor.

Top 8 peaks for 2θ = 10–80°, sorted by position:
2θ/deg, I/Imax, (hkl)
18.4, 100.0, 0 1 1
35.8, 14.7, 2 1 1
36.2, 13.7, 1 1 -3
36.4, 12.6, 1 -1 3
43.2, 28.7, 2 2 2
43.9, 27.3, 1 0 -4
44.2, 26.7, 1 -2 2
63.1, 14.8, 1 2 6

Cell and atoms:
```
data_Li9Mn2Co5O16
_chemical_formula_sum 'Li9 Mn2 Co5 O16'
_space_group_name_H-M_alt 'P -1'
_space_group_IT_number 2
_cell_length_a 5.0837
_cell_length_b 5.8911
_cell_length_c 10.0942
_cell_angle_alpha 88.84
_cell_angle_beta 80.23
_cell_angle_gamma 72.35
loop_
_space_group_symop_operation_xyz
'x,y,z'
'-x,-y,-z'
loop_
_atom_site_label
_atom_site_fract_x
_atom_site_fract_y
_atom_site_fract_z
Li1 0.0000 0.0000 0.0000
Li2 0.0000 0.0000 0.5000
Li3 0.0000 0.5000 0.0000
Li4 0.0033 0.7537 0.7544
Li5 0.4903 0.8793 0.6292
Li6 0.4917 0.6247 0.8794
Mn1 0.4996 0.1250 0.8764
Co1 0.0000 0.5000 0.5000
Co2 0.0015 0.7511 0.2470
Co3 0.4972 0.3741 0.6266
O1 0.2384 0.2090 0.5707
O2 0.2453 0.4674 0.3151
O3 0.2472 0.9714 0.8149
O4 0.2525 0.7067 0.0780
O5 0.2538 0.6778 0.5586
O6 0.2644 0.4250 0.8163
O7 0.2702 0.9360 0.3019
O8 0.2849 0.1721 0.0575
```


No. 7
Diffraction record for La2ZnFeO6. The powder diffraction line list is theoretical, not measured: it uses a crystal structure in the Materials Project, relaxed with GGA+U and a wavelength of 1.5418 Å.
Kinematic intensities with the Lorentz-polarization factor, no thermal factor.

Top 8 peaks for 2θ = 10–80°, sorted by position:
2θ/deg, I/Imax, (hkl)
22.5, 22.3, 0 1 2
31.7, 98.1, 1 1 0
32.3, 100.0, 1 0 4
39.2, 18.8, 2 0 2
45.9, 57.8, 0 2 4
56.4, 24.8, 3 0 0
56.8, 41.8, 2 1 4
58.1, 18.6, 0 1 8

Cell and atoms:
```
data_La2ZnFeO6
_chemical_formula_sum 'La6 Zn3 Fe3 O18'
_space_group_name_H-M_alt 'R -3'
_space_group_IT_number 148
_space_group_name_Hall '-R 3'
_cell_length_a 5.6493
_cell_length_b 5.6493
_cell_length_c 13.4279
_cell_angle_alpha 90.00
_cell_angle_beta 90.00
_cell_angle_gamma 120.00
loop_
_atom_site_label
_atom_site_fract_x
_atom_site_fract_y
_atom_site_fract_z
La1 0.0000 0.0000 0.2493
Zn1 0.0000 0.0000 0.5000
Fe1 0.0000 0.0000 0.0000
O1 0.0106 0.5797 0.7493
```


No. 8
Diffraction record for CaNi2O5. The powder diffraction line list is theoretical, not measured: it uses a crystal structure in the Materials Project, relaxed with GGA+U and a wavelength of 1.5418 Å.
Kinematic intensities with the Lorentz-polarization factor, no thermal factor.

Top 8 peaks for 2θ = 10–80°, sorted by position:
2θ/deg, I/Imax, (hkl)
16.4, 100.0, 0 0 1
23.2, 50.9, 0 2 1
29.1, 22.6, 1 0 1
30.3, 38.8, 1 1 1
34.6, 23.3, 1 3 0
37.1, 31.5, 0 4 1
44.7, 22.0, 1 2 2
49.0, 22.0, 2 0 0

Cell and atoms:
```
data_CaNi2O5
_chemical_formula_sum 'Ca2 Ni4 O10'
_space_group_name_H-M_alt 'P m m n'
_space_group_IT_number 59
_cell_length_a 3.7192
_cell_length_b 10.8533
_cell_length_c 5.4042
_cell_angle_alpha 90.00
_cell_angle_beta 90.00
_cell_angle_gamma 90.00
loop_
_space_group_symop_operation_xyz
'x,y,z'
'-x,-y,-z'
'-x+1/2,-y+1/2,z'
'x+1/2,y+1/2,-z'
'x+1/2,-y,-z'
'-x+1/2,y,z'
'-x,y+1/2,-z'
'x,-y+1/2,z'
loop_
_atom_site_label
_atom_site_fract_x
_atom_site_fract_y
_atom_site_fract_z
Ca1 0.2500 0.2500 0.1307
Ni1 0.2500 0.5985 0.4713
O1 0.2500 0.0729 0.4309
O2 0.2500 0.6841 0.1393
O3 0.2500 0.7500 0.6246
```


No. 9
Diffraction record for MgV2Fe2O8. The powder diffraction line list is theoretical, not measured: it uses a crystal structure in the Materials Project, relaxed with GGA+U and a wavelength of 1.5418 Å.
Kinematic intensities with the Lorentz-polarization factor, no thermal factor.

Top 8 peaks for 2θ = 10–80°, sorted by position:
2θ/deg, I/Imax, (hkl)
17.9, 23.0, 0 1 0
23.2, 38.4, 1 0 1
24.5, 48.5, 1 -1 1
30.5, 48.6, 1 1 0
33.2, 48.2, 0 1 2
33.6, 100.0, 1 0 2
34.7, 32.1, 2 -1 0
60.9, 22.9, 3 -1 2

Cell and atoms:
```
data_MgV2Fe2O8
_chemical_formula_sum 'Mg1 V2 Fe2 O8'
_space_group_name_H-M_alt 'P 1'
_space_group_IT_number 1
_cell_length_a 5.1954
_cell_length_b 5.3800
_cell_length_c 6.4157
_cell_angle_alpha 90.03
_cell_angle_beta 90.06
_cell_angle_gamma 112.59
loop_
_space_group_symop_operation_xyz
'x,y,z'
loop_
_atom_site_label
_atom_site_fract_x
_atom_site_fract_y
_atom_site_fract_z
Mg1 0.0000 0.0000 0.0000
V1 0.0804 0.2019 0.4999
V2 0.7652 0.4697 0.0000
Fe1 0.4225 0.8338 0.2626
Fe2 0.4226 0.8340 0.7371
O1 0.1339 0.6540 0.0000
O2 0.1953 0.0900 0.2734
O3 0.1948 0.0895 0.7266
O4 0.2111 0.5545 0.4998
O5 0.6683 0.6149 0.7952
O6 0.6687 0.6148 0.2050
O7 0.6712 0.1069 0.0000
O8 0.7187 0.0688 0.4997
```